Record 1
Diffraction record for Ac12La7Tm. The X-ray powder pattern is simulated, not measured: it uses a cell relaxed with GGA-PBE and Cu Kα, 1.54184 Å.

The 10 most intense peaks (2θ = 10–80°), sorted by position:
- 22.9 deg, I = 41
- 25.1 deg, I = 89
- 27.2 deg, I = 55
- 29.1 deg, I = 100
- 32.6 deg, I = 25
- 35.8 deg, I = 25
- 41.6 deg, I = 45
- 43.0 deg, I = 38
- 45.6 deg, I = 35
- 79.7 deg, I = 23

Unit cell a=10.6287 b=10.6287 c=10.6287 alpha=109.47 beta=109.47 gamma=109.47
Atoms (fractional coordinates):
Ac1 0.0723 0.2694 0.8029
Ac2 0.1971 0.4665 0.2694
Ac3 0.1971 0.9277 0.7306
Ac4 0.2694 0.1971 0.4665
Ac5 0.2694 0.8029 0.0723
Ac6 0.4665 0.2694 0.1971
Ac7 0.5335 0.7306 0.8029
Ac8 0.7306 0.1971 0.9277
Ac9 0.7306 0.8029 0.5335
Ac10 0.8029 0.0723 0.2694
Ac11 0.8029 0.5335 0.7306
Ac12 0.9277 0.7306 0.1971
La1 0.0000 0.0000 0.5000
La2 0.0000 0.5000 0.0000
La3 0.0000 0.5000 0.5000
La4 0.5000 0.0000 0.0000
La5 0.5000 0.0000 0.5000
La6 0.5000 0.5000 0.0000
La7 0.5000 0.5000 0.5000
Tm1 0.0000 0.0000 0.0000

Record 2
Diffraction record for AcLa8Tm6. The X-ray powder pattern is simulated, not measured: it uses a cell relaxed with GGA-PBE and Cu Kα, 1.54184 Å.

The 10 most intense peaks (2θ = 10–80°), sorted by position:
- 25.4 deg, I = 32
- 28.7 deg, I = 78
- 31.7 deg, I = 100
- 32.7 deg, I = 92
- 48.3 deg, I = 15
- 50.3 deg, I = 26
- 50.9 deg, I = 14
- 52.2 deg, I = 13
- 57.8 deg, I = 20
- 61.2 deg, I = 21

Unit cell a=9.4972 b=9.4972 c=6.6966 alpha=90.00 beta=90.00 gamma=120.00
Atoms (fractional coordinates):
Ac1 0.0000 0.0000 0.0000
La1 0.0446 0.7433 0.6600
La2 0.2567 0.3013 0.6600
La3 0.3013 0.0446 0.3400
La4 0.3333 0.6667 0.6174
La5 0.6667 0.3333 0.3826
La6 0.6987 0.9554 0.6600
La7 0.7433 0.6987 0.3400
La8 0.9554 0.2567 0.3400
Tm1 0.1008 0.6596 0.1505
Tm2 0.3404 0.4412 0.1505
Tm3 0.4412 0.1008 0.8495
Tm4 0.5588 0.8992 0.1505
Tm5 0.6596 0.5588 0.8495
Tm6 0.8992 0.3404 0.8495

Record 3
Diffraction record for AcLaTm3. The X-ray powder pattern is simulated, not measured: it uses a cell relaxed with GGA-PBE and Cu Kα, 1.54184 Å.

The 10 most intense peaks (2θ = 10–80°), sorted by position:
- 27.7 deg, I = 12
- 27.9 deg, I = 23
- 30.7 deg, I = 36
- 31.8 deg, I = 100
- 32.0 deg, I = 50
- 49.1 deg, I = 20
- 55.3 deg, I = 21
- 55.5 deg, I = 10
- 59.0 deg, I = 11
- 59.1 deg, I = 17

Unit cell a=9.4308 b=6.4348 c=12.4725 alpha=90.00 beta=114.09 gamma=90.00
Atoms (fractional coordinates):
Ac1 0.1559 0.1697 0.1035
Ac2 0.1559 0.3303 0.6035
Ac3 0.8441 0.6697 0.3965
Ac4 0.8441 0.8303 0.8965
La1 0.2614 0.6648 0.0021
La2 0.2614 0.8352 0.5021
La3 0.7386 0.1648 0.4979
La4 0.7386 0.3352 0.9979
Tm1 0.0517 0.6642 0.2043
Tm2 0.0517 0.8358 0.7043
Tm3 0.3533 0.1604 0.9001
Tm4 0.3533 0.3396 0.4001
Tm5 0.4479 0.6753 0.7999
Tm6 0.4479 0.8247 0.2999
Tm7 0.5521 0.1753 0.7001
Tm8 0.5521 0.3247 0.2001
Tm9 0.6467 0.6604 0.5999
Tm10 0.6467 0.8396 0.0999
Tm11 0.9483 0.1642 0.2957
Tm12 0.9483 0.3358 0.7957

Record 4
Diffraction record for AcLa12Tm5. The X-ray powder pattern is simulated, not measured: it uses a cell relaxed with GGA-PBE and Cu Kα, 1.54184 Å.

The 10 most intense peaks (2θ = 10–80°), sorted by position:
- 30.4 deg, I = 40
- 30.6 deg, I = 28
- 30.7 deg, I = 100
- 43.7 deg, I = 15
- 43.9 deg, I = 10
- 54.3 deg, I = 10
- 54.4 deg, I = 11
- 54.5 deg, I = 17
- 54.6 deg, I = 10
- 60.3 deg, I = 9

Unit cell a=10.7439 b=5.8342 c=10.7860 alpha=90.00 beta=110.08 gamma=90.00
Atoms (fractional coordinates):
Ac1 0.0000 0.0000 0.0000
La1 0.0114 0.0000 0.6672
La2 0.1677 0.5000 0.5472
La3 0.1782 0.5000 0.2329
La4 0.3320 0.0000 0.2817
La5 0.3342 0.0000 0.9469
La6 0.4944 0.5000 0.8297
La7 0.5056 0.5000 0.1703
La8 0.6658 0.0000 0.0531
La9 0.6680 0.0000 0.7183
La10 0.8218 0.5000 0.7671
La11 0.8323 0.5000 0.4528
La12 0.9886 0.0000 0.3328
Tm1 0.1627 0.5000 0.8851
Tm2 0.3389 0.0000 0.6100
Tm3 0.5000 0.5000 0.5000
Tm4 0.6611 0.0000 0.3900
Tm5 0.8373 0.5000 0.1149

Record 5
Diffraction record for Ac3La4Tm4. The X-ray powder pattern is simulated, not measured: it uses a cell relaxed with GGA-PBE and Cu Kα, 1.54184 Å.

The 10 most intense peaks (2θ = 10–80°), sorted by position:
- 29.6 deg, I = 29
- 30.3 deg, I = 62
- 30.5 deg, I = 100
- 43.0 deg, I = 22
- 54.1 deg, I = 13
- 54.2 deg, I = 19
- 54.5 deg, I = 12
- 59.4 deg, I = 31
- 63.5 deg, I = 12
- 76.6 deg, I = 14

Unit cell a=3.6705 b=5.8636 c=18.9327 alpha=98.85 beta=95.53 gamma=90.01
Atoms (fractional coordinates):
Ac1 0.0000 0.0000 0.0000
Ac2 0.1366 0.6372 0.2739
Ac3 0.8634 0.3628 0.7261
La1 0.2658 0.2659 0.5318
La2 0.4081 0.9076 0.8160
La3 0.5919 0.0924 0.1840
La4 0.7342 0.7341 0.4682
Tm1 0.3173 0.8170 0.6345
Tm2 0.4558 0.4542 0.9098
Tm3 0.5442 0.5458 0.0902
Tm4 0.6827 0.1830 0.3655

Record 6
Diffraction record for Ac2La7Tm2. The X-ray powder pattern is simulated, not measured: it uses a cell relaxed with GGA-PBE and Cu Kα, 1.54184 Å.

The 10 most intense peaks (2θ = 10–80°), sorted by position:
- 27.4 deg, I = 22
- 28.5 deg, I = 100
- 30.4 deg, I = 35
- 30.6 deg, I = 75
- 31.5 deg, I = 36
- 32.7 deg, I = 35
- 33.0 deg, I = 44
- 39.3 deg, I = 21
- 50.2 deg, I = 20
- 60.2 deg, I = 22

Unit cell a=7.4076 b=7.4076 c=9.7520 alpha=111.94 beta=111.94 gamma=58.38
Atoms (fractional coordinates):
Ac1 0.2265 0.2265 0.4539
Ac2 0.7735 0.7735 0.5461
La1 0.0000 0.0000 0.0000
La2 0.0126 0.4603 0.8298
La3 0.4603 0.0126 0.8298
La4 0.4978 0.4978 0.1715
La5 0.5022 0.5022 0.8285
La6 0.5397 0.9874 0.1702
La7 0.9874 0.5397 0.1702
Tm1 0.2527 0.7473 0.5000
Tm2 0.7473 0.2527 0.5000